The following is a computed XRD peak list of MnFeBP2. It was derived from the PBE geometry in Alexandria, using Cu Kα (weighted mean of Kα1 and Kα2).
No peak broadening, texture or thermal motion is included.

The 8 most intense peaks (10° ≤ 2θ ≤ 80°), sorted by position:
2θ/deg, intensity
24.4, 49
30.9, 100
38.7, 93
40.4, 76
43.6, 72
47.8, 92
50.3, 69
51.7, 47

Structural model:
Cell: 4.1666 2.8963 4.7791 Å, 90.00 110.76 90.00°
Fractional coordinates of all 5 atoms:
Mn 0.0000 0.0000 0.0000
Fe 0.3475 0.0000 0.5772
B 0.9417 0.5000 0.2993
P 0.5360 0.0000 0.1148
P 0.7716 0.5000 0.6231



The following is a computed XRD peak list of Sc2Mn5FeB2. It was derived from the PBE geometry in Alexandria, using Cu Kα (weighted mean of Kα1 and Kα2).
No peak broadening, texture or thermal motion is included.

The 8 most intense peaks (10° ≤ 2θ ≤ 80°), sorted by position:
2θ/deg, intensity
37.5, 43
41.6, 32
42.0, 57
44.1, 100
45.8, 31
47.7, 27
61.5, 17
77.3, 16

Structural model:
Cell: 8.8648 8.8648 3.0164 Å, 90.00 90.00 90.00°
Fractional coordinates of all 20 atoms:
Sc 0.1729 0.3271 0.0000
Sc 0.3271 0.8271 0.0000
Sc 0.6729 0.1729 0.0000
Sc 0.8271 0.6729 0.0000
Mn 0.0000 0.5000 0.5000
Mn 0.0672 0.7883 0.5000
Mn 0.2117 0.0672 0.5000
Mn 0.2883 0.5672 0.5000
Mn 0.4328 0.2883 0.5000
Mn 0.5000 0.0000 0.5000
Mn 0.5672 0.7117 0.5000
Mn 0.7117 0.4328 0.5000
Mn 0.7883 0.9328 0.5000
Mn 0.9328 0.2117 0.5000
Fe 0.0000 0.0000 0.0000
Fe 0.5000 0.5000 0.0000
B 0.1210 0.6210 0.0000
B 0.3790 0.1210 0.0000
B 0.6210 0.8790 0.0000
B 0.8790 0.3790 0.0000



The following is a computed XRD peak list of MnFe4SiB2. It was derived from the PBE geometry in Alexandria, using Cu Kα (weighted mean of Kα1 and Kα2).
No peak broadening, texture or thermal motion is included.

The 8 most intense peaks (10° ≤ 2θ ≤ 80°), sorted by position:
2θ/deg, intensity
34.9, 17
37.5, 78
42.1, 43
45.3, 100
46.5, 20
48.4, 65
52.4, 54
75.3, 21

Structural model:
Cell: 6.4511 6.4511 6.4511 Å, 129.34 129.34 74.47°
Fractional coordinates of all 16 atoms:
Mn 0.0000 0.0000 0.0000
Mn 0.5000 0.5000 0.0000
Fe 0.0313 0.5313 0.8355
Fe 0.1958 0.0313 0.5000
Fe 0.3042 0.8042 0.8355
Fe 0.4687 0.3042 0.5000
Fe 0.5313 0.6958 0.5000
Fe 0.6958 0.1958 0.1645
Fe 0.8042 0.9687 0.5000
Fe 0.9687 0.4687 0.1645
Si 0.2500 0.2500 0.0000
Si 0.7500 0.7500 0.0000
B 0.1196 0.3804 0.5000
B 0.3804 0.8804 0.2608
B 0.6196 0.1196 0.7392
B 0.8804 0.6196 0.5000



The following is a computed XRD peak list of Mn5FeB2W2. It was derived from the PBE geometry in Alexandria, using Cu Kα (weighted mean of Kα1 and Kα2).
No peak broadening, texture or thermal motion is included.

The 8 most intense peaks (10° ≤ 2θ ≤ 80°), sorted by position:
2θ/deg, intensity
20.7, 21
23.2, 64
37.3, 21
38.8, 100
43.0, 28
43.6, 79
44.9, 27
45.7, 74

Structural model:
Cell: 8.5663 8.5663 2.9194 Å, 90.00 90.00 90.00°
Fractional coordinates of all 20 atoms:
Mn 0.0000 0.5000 0.0000
Mn 0.0676 0.2132 0.0000
Mn 0.2132 0.9324 0.0000
Mn 0.2868 0.4324 0.0000
Mn 0.4324 0.7132 0.0000
Mn 0.5000 0.0000 0.0000
Mn 0.5676 0.2868 0.0000
Mn 0.7132 0.5676 0.0000
Mn 0.7868 0.0676 0.0000
Mn 0.9324 0.7868 0.0000
Fe 0.0000 0.0000 0.5000
Fe 0.5000 0.5000 0.5000
B 0.1229 0.3771 0.5000
B 0.3771 0.8771 0.5000
B 0.6229 0.1229 0.5000
B 0.8771 0.6229 0.5000
W 0.1769 0.6769 0.5000
W 0.3231 0.1769 0.5000
W 0.6769 0.8231 0.5000
W 0.8231 0.3231 0.5000



The following is a computed XRD peak list of Fe5B2Mo4. It was derived from the PBE geometry in Alexandria, using Cu Kα (weighted mean of Kα1 and Kα2).
No peak broadening, texture or thermal motion is included.

The 8 most intense peaks (10° ≤ 2θ ≤ 80°), sorted by position:
2θ/deg, intensity
33.3, 39
40.7, 100
41.5, 58
42.7, 82
42.8, 81
45.6, 53
46.0, 47
48.1, 39

Structural model:
Cell: 5.9525 3.0162 7.3526 Å, 90.00 95.97 90.00°
Fractional coordinates of all 11 atoms:
Fe 0.0000 0.0000 0.0000
Fe 0.0473 0.0000 0.3229
Fe 0.3398 0.0000 0.8540
Fe 0.6602 0.0000 0.1460
Fe 0.9527 0.0000 0.6771
B 0.4356 0.0000 0.3804
B 0.5644 0.0000 0.6196
Mo 0.2700 0.5000 0.5618
Mo 0.3238 0.5000 0.1523
Mo 0.6762 0.5000 0.8477
Mo 0.7300 0.5000 0.4382



The following is a computed XRD peak list of Fe6B6Mo. It was derived from the PBE geometry in Alexandria, using Cu Kα (weighted mean of Kα1 and Kα2).
No peak broadening, texture or thermal motion is included.

The 8 most intense peaks (10° ≤ 2θ ≤ 80°), sorted by position:
2θ/deg, intensity
25.0, 66
40.0, 25
42.7, 54
43.1, 100
43.7, 25
50.1, 31
50.5, 56
50.8, 43

Structural model:
Cell: 5.5054 5.5054 5.5054 Å, 134.76 99.45 97.56°
Fractional coordinates of all 13 atoms:
Fe 0.1552 0.1552 0.0000
Fe 0.1587 0.5000 0.6587
Fe 0.3150 0.8150 0.5000
Fe 0.6850 0.1850 0.5000
Fe 0.8413 0.5000 0.3413
Fe 0.8448 0.8448 0.0000
B 0.0000 0.0000 0.5000
B 0.0000 0.5000 0.0000
B 0.2670 0.0000 0.2670
B 0.5000 0.0000 0.0000
B 0.5000 0.5000 0.5000
B 0.7330 0.0000 0.7330
Mo 0.5000 0.5000 0.0000